This entry pairs a crystal structure of CdGa2Ge with its calculated X-ray diffraction stick pattern. Radiation: copper Kα. Structure: DFT lattice parameters and positions (PBE).
Kinematic intensities with the Lorentz-polarization factor, no thermal factor.

```
data_CdGa2Ge
_chemical_formula_sum 'Cd3 Ga6 Ge3'
_symmetry_space_group_name_H-M 'R -3 m'
_symmetry_Int_Tables_number 166
_symmetry_space_group_name_Hall '-R 3 2"'
_cell_length_a 2.9743
_cell_length_b 2.9743
_cell_length_c 32.4478
_cell_angle_alpha 90.00
_cell_angle_beta 90.00
_cell_angle_gamma 120.00
loop_
_atom_site_label
_atom_site_type_symbol
_atom_site_fract_x
_atom_site_fract_y
_atom_site_fract_z
Cd1 Cd 0.0000 0.0000 0.0000
Ga1 Ga 0.0000 0.0000 0.0921
Ge1 Ge 0.0000 0.0000 0.5000
```

The 12 most intense peaks (10 to 80 degrees two-theta), most intense first:
| two_theta | d (Å) | intensity | (hkl) |
| --- | --- | --- | --- |
| 35.28 | 2.544 | 100.0 | 0 1 2 |
| 44.93 | 2.017 | 82.2 | 1 0 10 |
| 33.13 | 2.704 | 59.7 | 0 0 12 |
| 34.94 | 2.568 | 43.7 | 1 0 1 |
| 72.54 | 1.303 | 34.5 | 1 1 12 |
| 62.45 | 1.487 | 33.1 | 1 1 0 |
| 41.53 | 2.174 | 32.2 | 0 1 8 |
| 46.82 | 1.940 | 24.5 | 0 1 11 |
| 74.07 | 1.280 | 19.5 | 1 0 22 |
| 24.69 | 3.605 | 16.3 | 0 0 9 |
| 68.33 | 1.373 | 16.2 | 0 1 20 |
| 37.57 | 2.394 | 14.4 | 0 1 5 |